(1)
For MgO, a DFT-relaxed cell (PBE, the Materials Project) gives the computed X-ray powder pattern in this record (CuKα).
Peak positions follow from Bragg's law for the DFT cell and can differ from measured ones.

Most intense lines, 2θ from 10° to 90°, in order of rising 2θ:
Position (°2θ)	intensity
15.54	53
23.29	100
28.80	81
34.04	64
42.90	100
47.85	45
50.16	54
54.46	54
68.09	37
71.71	42

Structure:
a b c (Å): 8.1837 8.1837 8.1837
angles (deg): 135.49 54.52 150.14
Sites, in units of the cell vectors:
Mg  0.0708  0.6663  0.7371
Mg  0.1900  0.1638  0.3538
Mg  0.3100  0.6638  0.9738
Mg  0.4292  0.1663  0.5956
Mg  0.5708  0.8337  0.4044
Mg  0.6900  0.3362  0.0262
Mg  0.8100  0.8362  0.6462
Mg  0.9292  0.3337  0.2629
O  0.0708  0.3292  0.4000
O  0.1902  0.8357  0.0259
O  0.3098  0.3357  0.6456
O  0.4292  0.8292  0.2585
O  0.5708  0.1708  0.7415
O  0.6902  0.6643  0.3544
O  0.8098  0.1643  0.9741
O  0.9292  0.6708  0.6000

(2)
For Sr2CaI6, a DFT-relaxed cell (PBE, the Materials Project) gives the computed X-ray powder pattern in this record (CuKα).
Peak positions follow from Bragg's law for the DFT cell and can differ from measured ones.

Most intense lines, 2θ from 10° to 90°, in order of rising 2θ:
Position (°2θ)	intensity
19.12	15
22.09	22
22.15	15
25.04	8
31.47	100
37.12	6
38.80	7
45.18	11
55.94	6
56.08	19

Structure:
a b c (Å): 12.6960 12.6960 8.0330
angles (deg): 90.00 90.00 37.03
Sites, in units of the cell vectors:
Sr  0.1668  0.1668  0.0000
Sr  0.3332  0.3332  0.5000
Sr  0.6668  0.6668  0.5000
Sr  0.8332  0.8332  0.0000
Ca  0.0000  0.0000  0.5000
Ca  0.5000  0.5000  0.0000
I  0.0187  0.4813  0.7500
I  0.1167  0.7118  0.7057
I  0.2118  0.6167  0.2057
I  0.2882  0.8833  0.7057
I  0.3833  0.7882  0.2057
I  0.4813  0.0187  0.2500
I  0.5187  0.9813  0.7500
I  0.6167  0.2118  0.7943
I  0.7118  0.1167  0.2943
I  0.7882  0.3833  0.7943
I  0.8833  0.2882  0.2943
I  0.9813  0.5187  0.2500

(3)
For GaCo3, a DFT-relaxed cell (PBE, the Materials Project) gives the computed X-ray powder pattern in this record (CuKα).
Peak positions follow from Bragg's law for the DFT cell and can differ from measured ones.

Most intense lines, 2θ from 10° to 90°, in order of rising 2θ:
Position (°2θ)	intensity
27.96	1
44.23	100
50.73	33
53.12	14
74.58	9
76.52	18

Structure:
a b c (Å): 3.5990 3.5990 6.8969
angles (deg): 90.00 90.00 90.00
Sites, in units of the cell vectors:
Ga  0.0000  0.0000  0.0000
Ga  0.5000  0.5000  0.5000
Co  0.0000  0.0000  0.5000
Co  0.0000  0.5000  0.2500
Co  0.0000  0.5000  0.7500
Co  0.5000  0.0000  0.2500
Co  0.5000  0.0000  0.7500
Co  0.5000  0.5000  0.0000

(4)
For YMg2, a DFT-relaxed cell (PBE, the Materials Project) gives the computed X-ray powder pattern in this record (CuKα).
Peak positions follow from Bragg's law for the DFT cell and can differ from measured ones.

Most intense lines, 2θ from 10° to 90°, in order of rising 2θ:
Position (°2θ)	intensity
17.98	32
29.57	79
34.82	100
52.46	31
55.91	33
61.37	23
69.58	13
72.54	11
84.93	15
87.73	20

Structure:
a b c (Å): 6.0424 6.0424 6.0424
angles (deg): 60.00 60.00 60.00
Sites, in units of the cell vectors:
Y  0.1250  0.1250  0.1250
Y  0.8750  0.8750  0.8750
Mg  0.0000  0.5000  0.5000
Mg  0.5000  0.0000  0.5000
Mg  0.5000  0.5000  0.0000
Mg  0.5000  0.5000  0.5000

(5)
For Eu2Si3Pd, a DFT-relaxed cell (PBE, the Materials Project) gives the computed X-ray powder pattern in this record (CuKα).
Peak positions follow from Bragg's law for the DFT cell and can differ from measured ones.

Most intense lines, 2θ from 10° to 90°, in order of rising 2θ:
Position (°2θ)	intensity
24.70	26
32.37	100
41.87	13
43.49	34
49.22	8
55.24	22
61.96	23
70.49	10
72.81	19
86.60	6

Structure:
a b c (Å): 8.3230 8.3230 4.3148
angles (deg): 90.00 90.00 120.00
Sites, in units of the cell vectors:
Eu  0.0000  0.0000  0.0000
Eu  0.0000  0.5000  0.0000
Eu  0.5000  0.0000  0.0000
Eu  0.5000  0.5000  0.0000
Si  0.1641  0.3282  0.5000
Si  0.1641  0.8359  0.5000
Si  0.3282  0.1641  0.5000
Si  0.6718  0.8359  0.5000
Si  0.8359  0.1641  0.5000
Si  0.8359  0.6718  0.5000
Pd  0.3333  0.6667  0.5000
Pd  0.6667  0.3333  0.5000

(6)
For Sr2N, a DFT-relaxed cell (PBE, the Materials Project) gives the computed X-ray powder pattern in this record (CuKα).
Peak positions follow from Bragg's law for the DFT cell and can differ from measured ones.

Most intense lines, 2θ from 10° to 90°, in order of rising 2θ:
Position (°2θ)	intensity
12.67	48
25.50	26
28.04	100
31.77	87
40.47	28
43.93	18
47.13	34
54.35	20
55.54	18
62.55	16

Structure:
a b c (Å): 3.8564 3.8564 20.9550
angles (deg): 90.00 90.00 120.00
Sites, in units of the cell vectors:
Sr  0.0000  0.0000  0.2322
Sr  0.0000  0.0000  0.7678
Sr  0.3333  0.6667  0.4344
Sr  0.3333  0.6667  0.8989
Sr  0.6667  0.3333  0.1011
Sr  0.6667  0.3333  0.5656
N  0.0000  0.0000  0.5000
N  0.3333  0.6667  0.1667
N  0.6667  0.3333  0.8333

(7)
For Fe4S5, a DFT-relaxed cell (PBE, the Materials Project) gives the computed X-ray powder pattern in this record (CuKα).
Peak positions follow from Bragg's law for the DFT cell and can differ from measured ones.

Most intense lines, 2θ from 10° to 90°, in order of rising 2θ:
Position (°2θ)	intensity
17.62	100
26.76	18
30.95	25
40.04	20
40.61	22
44.89	32
51.10	29
51.79	29
52.03	28
52.65	21

Structure:
a b c (Å): 7.8913 7.8995 10.0691
angles (deg): 91.19 90.68 90.00
Sites, in units of the cell vectors:
Fe  0.0000  0.0000  0.0000
Fe  0.0893  0.6950  0.9905
Fe  0.1974  0.3923  0.9918
Fe  0.3910  0.8065  0.9919
Fe  0.4993  0.5035  0.9905
Fe  0.5880  0.1995  0.0000
Fe  0.6960  0.8969  0.0012
Fe  0.8922  0.3026  0.0014
S  0.0929  0.2076  0.1210
S  0.1842  0.8906  0.8696
S  0.2963  0.6025  0.1141
S  0.4005  0.3025  0.8692
S  0.4990  0.9984  0.1207
S  0.5886  0.7066  0.8718
S  0.6886  0.4010  0.1195
S  0.7920  0.0965  0.8774
S  0.9028  0.8037  0.1185
S  0.9961  0.4857  0.8718

(8)
For Ho5Mg, a DFT-relaxed cell (PBE, the Materials Project) gives the computed X-ray powder pattern in this record (CuKα).
Peak positions follow from Bragg's law for the DFT cell and can differ from measured ones.

Most intense lines, 2θ from 10° to 90°, in order of rising 2θ:
Position (°2θ)	intensity
29.16	22
29.43	15
32.06	35
33.37	100
33.60	44
43.89	14
52.03	18
57.99	21
62.44	21
62.95	15

Structure:
a b c (Å): 5.5832 3.5464 18.2127
angles (deg): 90.00 90.00 90.00
Sites, in units of the cell vectors:
Ho  0.0000  0.0000  0.0000
Ho  0.0000  0.0000  0.3299
Ho  0.0000  0.0000  0.6678
Ho  0.0000  0.5000  0.1678
Ho  0.0000  0.5000  0.5000
Ho  0.0000  0.5000  0.8299
Ho  0.5000  0.0000  0.1147
Ho  0.5000  0.0000  0.4476
Ho  0.5000  0.5000  0.6147
Ho  0.5000  0.5000  0.9476
Mg  0.5000  0.0000  0.7789
Mg  0.5000  0.5000  0.2789

(9)
For Be22W, a DFT-relaxed cell (PBE, the Materials Project) gives the computed X-ray powder pattern in this record (CuKα).
Peak positions follow from Bragg's law for the DFT cell and can differ from measured ones.

Most intense lines, 2θ from 10° to 90°, in order of rising 2θ:
Position (°2θ)	intensity
13.26	85
21.74	100
25.55	71
30.93	21
33.79	32
38.12	47
40.53	25
46.46	42
49.87	31
59.85	24

Structure:
a b c (Å): 8.1772 8.1772 8.1772
angles (deg): 60.00 60.00 60.00
Sites, in units of the cell vectors:
Be  0.0000  0.0000  0.0000
Be  0.0000  0.0000  0.5000
Be  0.0000  0.5000  0.0000
Be  0.0000  0.5000  0.5000
Be  0.0100  0.0100  0.7400
Be  0.0100  0.7400  0.0100
Be  0.0100  0.7400  0.7400
Be  0.1758  0.1758  0.4437
Be  0.1758  0.1758  0.7047
Be  0.1758  0.4437  0.1758
Be  0.1758  0.4437  0.7047
Be  0.1758  0.7047  0.1758
Be  0.1758  0.7047  0.4437
Be  0.2600  0.2600  0.9900
Be  0.2600  0.9900  0.2600
Be  0.2600  0.9900  0.9900
Be  0.2953  0.5563  0.8242
Be  0.2953  0.8242  0.5563
Be  0.2953  0.8242  0.8242
Be  0.4437  0.1758  0.1758
Be  0.4437  0.1758  0.7047
Be  0.4437  0.7047  0.1758
Be  0.5000  0.0000  0.0000
Be  0.5000  0.0000  0.5000
Be  0.5000  0.5000  0.0000
Be  0.5000  0.5000  0.5000
Be  0.5563  0.2953  0.8242
Be  0.5563  0.8242  0.2953
Be  0.5563  0.8242  0.8242
Be  0.7047  0.1758  0.1758
Be  0.7047  0.1758  0.4437
Be  0.7047  0.4437  0.1758
Be  0.7400  0.0100  0.0100
Be  0.7400  0.0100  0.7400
Be  0.7400  0.7400  0.0100
Be  0.8242  0.2953  0.5563
Be  0.8242  0.2953  0.8242
Be  0.8242  0.5563  0.2953
Be  0.8242  0.5563  0.8242
Be  0.8242  0.8242  0.2953
Be  0.8242  0.8242  0.5563
Be  0.9900  0.2600  0.2600
Be  0.9900  0.2600  0.9900
Be  0.9900  0.9900  0.2600
W  0.3750  0.3750  0.3750
W  0.6250  0.6250  0.6250

(10)
For TeO2, a DFT-relaxed cell (PBE, the Materials Project) gives the computed X-ray powder pattern in this record (CuKα).
Peak positions follow from Bragg's law for the DFT cell and can differ from measured ones.

Most intense lines, 2θ from 10° to 90°, in order of rising 2θ:
Position (°2θ)	intensity
18.67	53
21.59	47
25.97	100
26.57	76
26.73	62
28.06	93
31.14	44
31.64	48
43.53	30
45.37	34

Structure:
a b c (Å): 5.8745 7.0944 7.8375
angles (deg): 105.63 92.97 112.23
Sites, in units of the cell vectors:
Te  0.0408  0.0299  0.2494
Te  0.2502  0.6825  0.9716
Te  0.3880  0.6300  0.4124
Te  0.6120  0.3700  0.5876
Te  0.7498  0.3175  0.0284
Te  0.9592  0.9701  0.7506
O  0.0224  0.3517  0.8847
O  0.0855  0.3239  0.2747
O  0.2587  0.0101  0.0720
O  0.2839  0.0835  0.4495
O  0.3936  0.5165  0.6371
O  0.4663  0.6833  0.1649
O  0.5337  0.3167  0.8351
O  0.6064  0.4835  0.3629
O  0.7161  0.9165  0.5505
O  0.7413  0.9899  0.9280
O  0.9145  0.6761  0.7253
O  0.9776  0.6483  0.1153

(11)
For LiAlSi4O10, a DFT-relaxed cell (PBE, the Materials Project) gives the computed X-ray powder pattern in this record (CuKα).
Peak positions follow from Bragg's law for the DFT cell and can differ from measured ones.

Most intense lines, 2θ from 10° to 90°, in order of rising 2θ:
Position (°2θ)	intensity
23.55	100
23.96	75
24.98	17
28.45	6
29.54	9
34.44	8
43.18	6
43.33	6
46.34	11
55.52	8

Structure:
a b c (Å): 7.7359 5.2079 11.8983
angles (deg): 90.00 112.84 90.00
Sites, in units of the cell vectors:
Li  0.0000  0.2486  0.0000
Li  0.0000  0.7514  0.5000
Al  0.0002  0.2532  0.4982
Al  0.0002  0.7468  0.9982
Si  0.2878  0.0150  0.2452
Si  0.2878  0.9850  0.7452
Si  0.2913  0.4878  0.8961
Si  0.2913  0.5122  0.3961
Si  0.7093  0.0109  0.7503
Si  0.7093  0.9891  0.2503
Si  0.7123  0.4900  0.1019
Si  0.7123  0.5100  0.6019
O  0.1303  0.0310  0.6096
O  0.1303  0.9690  0.1096
O  0.1381  0.4738  0.4573
O  0.1381  0.5262  0.9573
O  0.2539  0.3023  0.2874
O  0.2539  0.6977  0.7874
O  0.2684  0.1970  0.8408
O  0.2684  0.8030  0.3408
O  0.4964  0.0078  0.2437
O  0.4964  0.9922  0.7437
O  0.5033  0.4778  0.4962
O  0.5033  0.5222  0.9962
O  0.7385  0.1994  0.1577
O  0.7391  0.3014  0.7099
O  0.7391  0.6986  0.2099
O  0.7385  0.8006  0.6577
O  0.8621  0.0326  0.3883
O  0.8621  0.9674  0.8883
O  0.8702  0.4734  0.5450
O  0.8702  0.5266  0.0450

(12)
For HfAl, a DFT-relaxed cell (PBE, the Materials Project) gives the computed X-ray powder pattern in this record (CuKα).
Peak positions follow from Bragg's law for the DFT cell and can differ from measured ones.

Most intense lines, 2θ from 10° to 90°, in order of rising 2θ:
Position (°2θ)	intensity
16.28	26
26.41	74
35.58	100
37.12	56
39.17	43
42.02	25
55.07	21
57.30	32
70.99	15
72.93	17

Structure:
a b c (Å): 3.2525 10.8865 4.3002
angles (deg): 90.00 90.00 90.00
Sites, in units of the cell vectors:
Hf  0.0000  0.1635  0.2500
Hf  0.0000  0.8365  0.7500
Hf  0.5000  0.3365  0.7500
Hf  0.5000  0.6635  0.2500
Al  0.0000  0.4298  0.2500
Al  0.0000  0.5702  0.7500
Al  0.5000  0.0702  0.7500
Al  0.5000  0.9298  0.2500